Entry 1:
This entry pairs a crystal structure of Pu2NiRh6 with its computed X-ray powder pattern. Radiation: Cu Kα, 1.54184 Å. Structure: the PBE geometry in Alexandria.
Peak positions follow from Bragg's law for the DFT cell and can differ from measured ones.

Top 10 peaks for 2θ from 15° to 90°, most intense first:
- 41.12°, rel. 100.0
- 35.91°, rel. 57.6
- 36.25°, rel. 33.5
- 68.74°, rel. 20.7
- 38.04°, rel. 20.7
- 24.13°, rel. 18.7
- 30.34°, rel. 15.8
- 32.79°, rel. 13.6
- 57.80°, rel. 12.7
- 50.30°, rel. 12.5

Structure:
```
9
Lattice="4.7323 -2.7302 0.0000 4.7323 2.7302 0.0000 -0.0138 0.0000 5.8921" Properties=species:S:1:pos:R:3 pbc="T T T"
Pu 1.5758 0.0000 0.9270
Pu 7.8750 0.0000 4.9652
Ni 4.7323 0.0000 0.0000
Rh 3.9178 1.4046 1.8664
Rh 3.0971 0.0000 4.0210
Rh 5.5329 1.4046 4.0257
Rh 3.9178 -1.4046 1.8664
Rh 6.3536 0.0000 1.8711
Rh 5.5329 -1.4046 4.0257
```



Entry 2:
This entry pairs a crystal structure of Ce3Sm2Pb6 with its computed X-ray powder pattern. Radiation: Cu Kα, 1.54184 Å. Structure: the PBE geometry in Alexandria.
Peak positions follow from Bragg's law for the DFT cell and can differ from measured ones.

Top 10 peaks for 2θ from 15° to 90°, most intense first:
- 30.87°, rel. 100.0
- 31.99°, rel. 97.6
- 38.27°, rel. 56.9
- 55.61°, rel. 42.0
- 44.22°, rel. 37.9
- 59.88°, rel. 31.4
- 73.03°, rel. 17.6
- 31.86°, rel. 16.7
- 31.32°, rel. 15.6
- 23.05°, rel. 14.1

Structure:
```
11
Lattice="-2.8969 2.8969 11.4886 2.8969 -2.8969 11.4886 2.8969 2.8969 -11.4886" Properties=species:S:1:pos:R:3 pbc="T T T"
Ce 0.0000 0.0000 0.0000
Ce 0.0000 0.0000 2.6463
Ce 0.0000 0.0000 20.3309
Sm 0.0000 0.0000 9.3643
Sm 0.0000 0.0000 13.6129
Pb 2.8969 0.0000 3.9956
Pb 0.0000 0.0000 5.9239
Pb 2.8969 0.0000 7.4930
Pb 0.0000 2.8969 3.9956
Pb 0.0000 0.0000 17.0533
Pb 0.0000 2.8969 7.4930
```



Entry 3:
This entry pairs a crystal structure of PaMnSi2 with its computed X-ray powder pattern. Radiation: Cu Kα, 1.54184 Å. Structure: the PBE geometry in Alexandria.
Peak positions follow from Bragg's law for the DFT cell and can differ from measured ones.

Top 10 peaks for 2θ from 15° to 90°, most intense first:
- 27.43°, rel. 100.0
- 22.46°, rel. 97.6
- 37.61°, rel. 58.2
- 35.40°, rel. 51.3
- 35.98°, rel. 50.4
- 36.56°, rel. 49.3
- 31.59°, rel. 46.8
- 44.94°, rel. 40.2
- 23.69°, rel. 39.7
- 44.71°, rel. 35.4

Structure:
```
16
Lattice="6.5006 0.0000 0.0000 0.0000 4.0538 0.0000 0.0000 0.0000 9.9846" Properties=species:S:1:pos:R:3 pbc="T T T"
Pa 1.2060 1.0135 1.2501
Pa 2.0443 3.0404 6.2424
Pa 4.4563 1.0135 3.7422
Pa 5.2946 3.0404 8.7345
Mn 0.0354 3.0404 3.8938
Mn 3.2149 1.0135 8.8861
Mn 3.2857 3.0404 1.0985
Mn 6.4652 1.0135 6.0908
Si 0.9226 1.0135 8.1934
Si 1.2194 1.0135 4.1619
Si 2.0309 3.0404 9.1542
Si 2.3277 3.0404 3.2011
Si 4.1729 1.0135 6.7835
Si 4.4697 1.0135 0.8304
Si 5.2812 3.0404 5.8227
Si 5.5780 3.0404 1.7912
```



Entry 4:
This entry pairs a crystal structure of Ac6PrNd2 with its computed X-ray powder pattern. Radiation: Cu Kα, 1.54184 Å. Structure: the PBE geometry in Alexandria.
Peak positions follow from Bragg's law for the DFT cell and can differ from measured ones.

Top 10 peaks for 2θ from 15° to 90°, most intense first:
- 30.59°, rel. 100.0
- 29.13°, rel. 59.9
- 26.35°, rel. 47.3
- 27.67°, rel. 46.0
- 54.97°, rel. 42.2
- 46.51°, rel. 38.6
- 51.73°, rel. 33.8
- 38.58°, rel. 30.6
- 56.70°, rel. 18.0
- 76.27°, rel. 15.3

Structure:
```
9
Lattice="3.9055 0.0000 0.0000 -1.9527 3.3822 0.0000 0.0000 0.0000 29.0179" Properties=species:S:1:pos:R:3 pbc="T T T"
Ac 0.0000 0.0000 1.9270
Ac 0.0000 0.0000 8.0795
Ac 0.0000 0.0000 20.9384
Ac 0.0000 0.0000 27.0909
Ac 0.0000 2.2548 11.3966
Ac 0.0000 2.2548 17.6213
Pr 0.0000 0.0000 14.5089
Nd 0.0000 2.2548 4.9496
Nd 0.0000 2.2548 24.0683
```



Entry 5:
This entry pairs a crystal structure of PmTmCdIr with its computed X-ray powder pattern. Radiation: Cu Kα, 1.54184 Å. Structure: the PBE geometry in Alexandria.
Peak positions follow from Bragg's law for the DFT cell and can differ from measured ones.

Top 10 peaks for 2θ from 15° to 90°, most intense first:
- 35.39°, rel. 100.0
- 63.54°, rel. 36.4
- 50.92°, rel. 17.8
- 85.64°, rel. 16.3
- 74.88°, rel. 11.3
- 21.46°, rel. 3.4
- 41.76°, rel. 2.0
- 55.87°, rel. 0.9
- 78.96°, rel. 0.7
- 67.89°, rel. 0.7

Structure:
```
4
Lattice="0.0000 3.5867 3.5867 3.5867 0.0000 3.5867 3.5867 3.5867 0.0000" Properties=species:S:1:pos:R:3 pbc="T T T"
Pm 0.0000 0.0000 0.0000
Tm 3.5867 3.5867 3.5867
Cd 5.3800 5.3800 5.3800
Ir 1.7933 1.7933 1.7933
```



Entry 6:
This entry pairs a crystal structure of Cu6Au5 with its computed X-ray powder pattern. Radiation: Cu Kα, 1.54184 Å. Structure: the PBE geometry in Alexandria.
Peak positions follow from Bragg's law for the DFT cell and can differ from measured ones.

Top 10 peaks for 2θ from 15° to 90°, most intense first:
- 41.90°, rel. 100.0
- 41.12°, rel. 26.8
- 41.35°, rel. 25.7
- 28.83°, rel. 22.8
- 75.46°, rel. 17.4
- 59.73°, rel. 17.2
- 75.77°, rel. 16.4
- 29.74°, rel. 10.7
- 76.90°, rel. 8.1
- 77.06°, rel. 7.8

Structure:
```
11
Lattice="2.1952 -6.5511 0.0000 2.1952 6.5511 0.0000 0.0000 0.0000 6.0086" Properties=species:S:1:pos:R:3 pbc="T T T"
Cu 0.0000 0.0000 1.3702
Cu 0.0000 0.0000 4.6384
Cu 2.1952 2.0660 1.4359
Cu 2.1952 2.0660 4.5727
Cu 2.1952 -2.0660 1.4359
Cu 2.1952 -2.0660 4.5727
Au 2.1952 4.3862 3.0043
Au 2.1952 4.3276 0.0000
Au 2.1952 0.0000 3.0043
Au 2.1952 -4.3276 0.0000
Au 2.1952 -4.3862 3.0043
```



Entry 7:
This entry pairs a crystal structure of Sr2GaCu4Ge3 with its computed X-ray powder pattern. Radiation: Cu Kα, 1.54184 Å. Structure: the PBE geometry in Alexandria.
Peak positions follow from Bragg's law for the DFT cell and can differ from measured ones.

Top 10 peaks for 2θ from 15° to 90°, most intense first:
- 34.26°, rel. 100.0
- 41.85°, rel. 72.3
- 33.61°, rel. 64.9
- 54.71°, rel. 31.2
- 46.47°, rel. 29.8
- 49.53°, rel. 23.6
- 60.67°, rel. 23.1
- 71.56°, rel. 21.9
- 66.80°, rel. 18.7
- 89.44°, rel. 15.0

Structure:
```
10
Lattice="4.3173 0.0000 0.0000 0.0000 4.3173 0.0000 0.0000 0.0000 10.1730" Properties=species:S:1:pos:R:3 pbc="T T T"
Sr 0.0000 2.1586 2.4882
Sr 2.1586 0.0000 7.6848
Ga 0.0000 0.0000 5.0865
Cu 0.0000 0.0000 0.0000
Cu 0.0000 2.1586 6.4186
Cu 2.1586 0.0000 3.7545
Cu 2.1586 2.1586 0.0000
Ge 0.0000 2.1586 8.9115
Ge 2.1586 0.0000 1.2615
Ge 2.1586 2.1586 5.0865
```



Entry 8:
This entry pairs a crystal structure of Th8ReOs2 with its computed X-ray powder pattern. Radiation: Cu Kα, 1.54184 Å. Structure: the PBE geometry in Alexandria.
Peak positions follow from Bragg's law for the DFT cell and can differ from measured ones.

Top 10 peaks for 2θ from 15° to 90°, most intense first:
- 30.17°, rel. 100.0
- 33.37°, rel. 74.3
- 37.90°, rel. 72.9
- 31.40°, rel. 66.2
- 35.96°, rel. 53.5
- 29.49°, rel. 52.5
- 33.60°, rel. 50.5
- 34.25°, rel. 47.6
- 31.77°, rel. 45.3
- 52.43°, rel. 32.2

Structure:
```
11
Lattice="4.1376 -6.5250 0.0000 4.1376 6.5250 0.0000 -2.1547 0.0000 5.8460" Properties=species:S:1:pos:R:3 pbc="T T T"
Th 0.0000 0.0000 0.0000
Th -0.0804 1.6709 3.4145
Th 2.6839 2.7324 1.1002
Th -0.0804 -1.6709 3.4145
Th 3.0820 1.6355 4.7224
Th 2.6839 -2.7324 1.1002
Th 3.0820 -1.6355 4.7224
Th 5.2174 0.0000 2.1083
Re 2.9535 0.0000 0.0255
Os 1.4487 4.0114 3.9920
Os 1.4487 -4.0114 3.9920
```



Entry 9:
This entry pairs a crystal structure of Mn3Pd7Pt2 with its computed X-ray powder pattern. Radiation: Cu Kα, 1.54184 Å. Structure: the PBE geometry in Alexandria.
Peak positions follow from Bragg's law for the DFT cell and can differ from measured ones.

Top 10 peaks for 2θ from 15° to 90°, most intense first:
- 38.93°, rel. 100.0
- 42.79°, rel. 84.9
- 41.62°, rel. 70.9
- 40.51°, rel. 56.0
- 20.46°, rel. 48.5
- 57.90°, rel. 45.3
- 38.42°, rel. 39.7
- 32.74°, rel. 38.9
- 43.91°, rel. 34.7
- 34.26°, rel. 28.8

Structure:
```
12
Lattice="2.8249 0.0000 0.0000 0.0000 4.3400 0.0000 -1.4118 0.0000 16.4027" Properties=species:S:1:pos:R:3 pbc="T T T"
Mn 0.0000 0.0000 0.0000
Mn 0.0012 2.1700 10.8677
Mn 1.4120 2.1700 5.5351
Pd 0.0002 2.1700 2.8394
Pd 0.0002 0.0000 7.0921
Pd 0.0008 0.0000 14.3011
Pd 1.4125 2.1700 0.0000
Pd 1.4124 0.0000 2.1017
Pd 1.4130 0.0000 9.3106
Pd 1.4129 2.1700 13.5633
Pt -0.0005 0.0000 4.5168
Pt 1.4137 0.0000 11.8859
```



Entry 10:
This entry pairs a crystal structure of InGe2Pb with its computed X-ray powder pattern. Radiation: Cu Kα, 1.54184 Å. Structure: the PBE geometry in Alexandria.
Peak positions follow from Bragg's law for the DFT cell and can differ from measured ones.

Top 10 peaks for 2θ from 15° to 90°, most intense first:
- 30.47°, rel. 100.0
- 42.06°, rel. 40.7
- 45.15°, rel. 34.3
- 55.44°, rel. 18.4
- 26.90°, rel. 17.8
- 69.71°, rel. 17.4
- 74.19°, rel. 15.6
- 81.20°, rel. 12.1
- 63.40°, rel. 12.0
- 24.44°, rel. 7.8

Structure:
```
4
Lattice="2.0083 1.1595 7.2832 -2.0083 1.1595 7.2832 0.0000 -2.3190 7.2832" Properties=species:S:1:pos:R:3 pbc="T T T"
In 0.0000 0.0000 0.0000
Ge 0.0000 0.0000 5.6042
Ge 0.0000 0.0000 16.2455
Pb 0.0000 0.0000 10.9248
```



Entry 11:
This entry pairs a crystal structure of Cs4Ho3TiS8 with its computed X-ray powder pattern. Radiation: Cu Kα, 1.54184 Å. Structure: the PBE geometry in Alexandria.
Peak positions follow from Bragg's law for the DFT cell and can differ from measured ones.

Top 10 peaks for 2θ from 15° to 90°, most intense first:
- 29.72°, rel. 100.0
- 26.73°, rel. 50.7
- 45.24°, rel. 39.3
- 39.65°, rel. 37.2
- 22.17°, rel. 34.7
- 50.94°, rel. 22.5
- 45.89°, rel. 20.2
- 55.07°, rel. 16.8
- 87.79°, rel. 14.7
- 73.95°, rel. 13.9

Structure:
```
16
Lattice="4.0080 2.3140 8.0208 -4.0080 2.3140 8.0208 0.0000 -4.6280 8.0208" Properties=species:S:1:pos:R:3 pbc="T T T"
Cs 0.0000 0.0000 0.0000
Cs -2.0040 -1.1570 8.0208
Cs -2.0040 1.1570 16.0416
Cs 0.0000 2.3140 8.0208
Ho -4.0080 0.0000 12.0312
Ho -2.0040 1.1570 4.0104
Ho 2.0040 1.1570 4.0104
Ti 0.0000 0.0000 12.0312
S 0.0000 0.0000 5.4775
S -1.8986 -1.0961 13.4420
S 0.0000 -2.1923 10.6204
S -1.8986 1.0961 10.6204
S 1.8986 -1.0961 13.4420
S 0.0000 2.1923 13.4420
S 1.8986 1.0961 10.6204
S 0.0000 0.0000 18.5850
```



Entry 12:
This entry pairs a crystal structure of ZnGaCuSe3 with its computed X-ray powder pattern. Radiation: Cu Kα, 1.54184 Å. Structure: the PBE geometry in Alexandria.
Peak positions follow from Bragg's law for the DFT cell and can differ from measured ones.

Top 10 peaks for 2θ from 15° to 90°, most intense first:
- 27.14°, rel. 100.0
- 45.04°, rel. 61.0
- 53.36°, rel. 29.0
- 53.48°, rel. 14.6
- 45.17°, rel. 12.1
- 83.05°, rel. 11.6
- 65.63°, rel. 11.3
- 72.30°, rel. 8.7
- 83.31°, rel. 7.6
- 72.42°, rel. 5.5

Structure:
```
6
Lattice="6.6598 -2.0151 0.0000 6.6598 2.0151 0.0000 -2.4328 0.0000 5.1493" Properties=species:S:1:pos:R:3 pbc="T T T"
Zn 0.0000 0.0000 0.0000
Ga 3.5364 0.0000 1.7595
Cu 7.2515 0.0000 3.3741
Se 1.1539 0.0000 2.1756
Se 4.8481 0.0000 3.8317
Se 10.8297 0.0000 0.3961
```